No. 1
Simulated powder XRD pattern of Th2UCuN5 for a wavelength of 1.5418 Å, from a crystal structure in Alexandria, relaxed with PBE.

Largest 10 diffraction maxima, low angle first, 2θ from 10° to 90°:
2theta, intensity
26.3, 44.5
27.3, 25.1
28.7, 100.0
31.1, 41.4
31.4, 26.0
32.2, 62.3
33.3, 27.8
37.0, 94.9
45.3, 48.8
60.8, 26.0

```
Th2UCuN5
1.0
1.748 -6.887 0.000
1.748 6.887 0.000
0.000 0.000 10.467
Th U Cu N
4 2 2 10
direct
0.108 0.892 0.500 Th
0.123 0.877 0.126 Th
0.877 0.123 0.626 Th
0.892 0.108 0.000 Th
0.195 0.805 0.823 U
0.805 0.195 0.323 U
0.489 0.511 0.292 Cu
0.511 0.489 0.792 Cu
0.048 0.952 0.879 N
0.288 0.712 0.461 N
0.297 0.703 0.188 N
0.352 0.648 0.824 N
0.498 0.502 0.597 N
0.502 0.498 0.097 N
0.648 0.352 0.324 N
0.703 0.297 0.688 N
0.712 0.288 0.961 N
0.952 0.048 0.379 N
```



No. 2
Simulated powder XRD pattern of Rb2HoOsO6 for a wavelength of 1.5418 Å, from a crystal structure in Alexandria, relaxed with PBE.

Largest 10 diffraction maxima, low angle first, 2θ from 10° to 90°:
2theta, intensity
15.4, 12.1
15.9, 100.0
27.7, 72.1
35.2, 37.3
42.2, 25.1
45.4, 27.6
49.0, 14.2
54.0, 27.8
57.3, 12.4
69.0, 12.4

```
Rb2HoOsO6
1.0
6.436 0.000 0.000
-3.218 5.574 0.000
0.000 0.000 5.740
Rb Ho Os O
2 1 1 6
direct
0.333 0.667 0.126 Rb
0.667 0.333 0.874 Rb
0.000 0.000 0.500 Ho
0.000 0.000 0.000 Os
0.136 0.272 0.795 O
0.136 0.864 0.795 O
0.272 0.136 0.205 O
0.728 0.864 0.795 O
0.864 0.136 0.205 O
0.864 0.728 0.205 O
```



No. 3
Simulated powder XRD pattern of KRb6Na for a wavelength of 1.5418 Å, from a crystal structure in Alexandria, relaxed with PBE.

Largest 10 diffraction maxima, low angle first, 2θ from 10° to 90°:
2theta, intensity
22.8, 100.0
23.9, 43.3
30.7, 12.9
34.1, 16.3
39.3, 22.8
41.4, 36.5
46.5, 14.5
50.0, 11.3
61.9, 10.7
64.5, 9.1

```
KRb6Na
1.0
10.518 0.000 0.000
0.000 10.518 0.000
0.000 0.000 5.831
K Rb Na
1 6 1
direct
0.000 0.000 0.000 K
0.000 0.500 0.000 Rb
0.266 0.266 0.500 Rb
0.266 0.734 0.500 Rb
0.500 0.000 0.000 Rb
0.734 0.266 0.500 Rb
0.734 0.734 0.500 Rb
0.500 0.500 0.000 Na
```